1.
Computed PXRD pattern
Compound: ThHg
Radiation: a wavelength of 1.5418 Å
Structure: a DFT-relaxed cell (PBE, the Materials Project)
Peak positions follow from Bragg's law for the DFT cell and can differ from measured ones.

Cell and atoms:
```
data_ThHg
_chemical_formula_sum 'Th3 Hg3'
_cell_length_a 3.501
_cell_length_b 3.501
_cell_length_c 16.208
_cell_angle_alpha 90.00
_cell_angle_beta 90.00
_cell_angle_gamma 120.00
_symmetry_space_group_name_H-M 'P 1'
_symmetry_Int_Tables_number 1
loop_
_symmetry_equiv_pos_as_xyz
'x,y,z'
loop_
_atom_site_label
_atom_site_type_symbol
_atom_site_fract_x
_atom_site_fract_y
_atom_site_fract_z
Th1 Th 0.000 0.000 0.000
Th2 Th 0.333 0.667 0.667
Th3 Th 0.667 0.333 0.333
Hg1 Hg 0.000 0.000 0.500
Hg2 Hg 0.333 0.667 0.167
Hg3 Hg 0.667 0.333 0.833
```

The 8 most intense peaks (2θ = 10–80°), most intense first:
- (0 1 2), 31.51°, I = 100
- (1 0 4), 37.03°, I = 65
- (0 0 6), 33.16°, I = 29
- (1 1 6), 63.31°, I = 28
- (1 1 0), 52.26°, I = 25
- (0 1 8), 54.47°, I = 22
- (2 0 2), 62.31°, I = 15
- (1 0 10), 65.28°, I = 13

---

2.
Computed PXRD pattern
Compound: ThHg3
Radiation: a wavelength of 1.5418 Å
Structure: a DFT-relaxed cell (PBE, the Materials Project)
Peak positions follow from Bragg's law for the DFT cell and can differ from measured ones.

Cell and atoms:
```
data_ThHg3
_chemical_formula_sum 'Th1 Hg3'
_cell_length_a 3.519
_cell_length_b 3.519
_cell_length_c 10.055
_cell_angle_alpha 90.00
_cell_angle_beta 90.00
_cell_angle_gamma 120.00
_symmetry_space_group_name_H-M 'P 1'
_symmetry_Int_Tables_number 1
loop_
_symmetry_equiv_pos_as_xyz
'x,y,z'
loop_
_atom_site_label
_atom_site_type_symbol
_atom_site_fract_x
_atom_site_fract_y
_atom_site_fract_z
Th1 Th 0.000 0.000 0.000
Hg1 Hg 0.000 0.000 0.500
Hg2 Hg 0.667 0.333 0.261
Hg3 Hg 0.667 0.333 0.739
```

The 8 most intense peaks (2θ = 10–80°), most intense first:
- (1 0 2), 34.41°, I = 100
- (1 0 0), 29.30°, I = 25
- (1 1 4), 64.66°, I = 22
- (1 1 0), 51.97°, I = 21
- (0 0 4), 35.72°, I = 20
- (2 0 2), 63.82°, I = 17
- (1 0 6), 63.33°, I = 16
- (1 0 4), 46.85°, I = 14